This entry pairs a crystal structure of TaGeAu with its theoretical powder diffraction line list. Radiation: a wavelength of 1.5418 Å. Structure: a DFT-relaxed cell (PBE, Alexandria).

Cell and atoms:
abc: 3.242 3.753 8.838
angles: 90.00 90.00 90.00
Sites, in units of the cell vectors:
1 Ta 0.250 0.250 0.099
2 Ta 0.750 0.750 0.901
3 Ge 0.250 0.250 0.788
4 Ge 0.750 0.750 0.212
5 Au 0.250 0.750 0.589
6 Au 0.750 0.250 0.411

The 6 most intense peaks (2θ = 10–90°), sorted by position:
two_theta  I (rel.)
34.30  59
38.06  100
38.86  78
48.51  23
60.76  23
70.95  27

---

This entry pairs a crystal structure of TaGeAu with its theoretical powder diffraction line list. Radiation: a wavelength of 1.5418 Å. Structure: a DFT-relaxed cell (PBE, Alexandria).

Cell and atoms:
abc: 2.878 2.878 6.775
angles: 90.00 90.00 100.98
Sites, in units of the cell vectors:
1 Ta 0.000 0.000 0.000
2 Ge 0.500 0.500 0.298
3 Au 0.500 0.500 0.680

The 6 most intense peaks (2θ = 10–90°), sorted by position:
two_theta  I (rel.)
13.07  43
34.39  100
39.92  33
40.64  35
41.63  95
58.28  22

---

This entry pairs a crystal structure of Tb7Ge5Au with its theoretical powder diffraction line list. Radiation: a wavelength of 1.5418 Å. Structure: a DFT-relaxed cell (PBE, Alexandria).

Cell and atoms:
abc: 7.930 7.930 7.930
angles: 135.59 93.64 102.83
Sites, in units of the cell vectors:
1 Tb 0.000 0.000 0.000
2 Tb 0.058 0.732 0.325
3 Tb 0.400 0.400 0.000
4 Tb 0.407 0.732 0.675
5 Tb 0.529 0.029 0.500
6 Tb 0.613 0.279 0.334
7 Tb 0.945 0.279 0.666
8 Ge 0.011 0.511 0.500
9 Ge 0.261 0.226 0.486
10 Ge 0.261 0.775 0.035
11 Ge 0.739 0.226 0.965
12 Ge 0.739 0.775 0.514
13 Au 0.700 0.700 0.000

The 6 most intense peaks (2θ = 10–90°), sorted by position:
two_theta  I (rel.)
28.83  77
29.81  50
30.96  52
34.16  100
38.86  64
59.71  31

---

This entry pairs a crystal structure of GeTe3Au2 with its theoretical powder diffraction line list. Radiation: a wavelength of 1.5418 Å. Structure: a DFT-relaxed cell (PBE, Alexandria).

Cell and atoms:
abc: 7.709 7.709 7.343
angles: 90.00 90.00 60.04
Sites, in units of the cell vectors:
1 Ge 0.165 0.835 0.500
2 Ge 0.835 0.165 0.000
3 Te 0.166 0.505 0.395
4 Te 0.169 0.831 0.877
5 Te 0.495 0.834 0.395
6 Te 0.505 0.166 0.895
7 Te 0.831 0.169 0.377
8 Te 0.834 0.495 0.895
9 Au 0.167 0.501 0.021
10 Au 0.499 0.833 0.021
11 Au 0.501 0.167 0.521
12 Au 0.833 0.499 0.521

The 6 most intense peaks (2θ = 10–90°), sorted by position:
two_theta  I (rel.)
23.07  100
24.24  57
26.11  73
40.53  92
43.81  95
47.79  55

---

This entry pairs a crystal structure of Ge2Te4Au with its theoretical powder diffraction line list. Radiation: a wavelength of 1.5418 Å. Structure: a DFT-relaxed cell (PBE, Alexandria).

Cell and atoms:
abc: 6.139 6.139 6.065
angles: 90.00 90.00 90.00
Sites, in units of the cell vectors:
1 Ge 0.000 0.500 0.000
2 Ge 0.500 0.000 0.000
3 Te 0.228 0.228 0.727
4 Te 0.228 0.772 0.273
5 Te 0.772 0.228 0.273
6 Te 0.772 0.772 0.727
7 Au 0.500 0.500 0.500

The 6 most intense peaks (2θ = 10–90°), sorted by position:
two_theta  I (rel.)
20.59  16
25.23  100
41.61  24
41.88  48
49.29  29
49.75  14

---

This entry pairs a crystal structure of Ge2Te6Au with its theoretical powder diffraction line list. Radiation: a wavelength of 1.5418 Å. Structure: a DFT-relaxed cell (PBE, Alexandria).

Cell and atoms:
abc: 9.114 9.114 7.511
angles: 102.96 102.96 76.61
Sites, in units of the cell vectors:
1 Ge 0.110 0.297 0.243
2 Ge 0.297 0.110 0.743
3 Ge 0.703 0.890 0.257
4 Ge 0.890 0.703 0.757
5 Te 0.035 0.206 0.517
6 Te 0.167 0.565 0.908
7 Te 0.206 0.035 0.017
8 Te 0.281 0.521 0.373
9 Te 0.435 0.833 0.592
10 Te 0.479 0.719 0.127
11 Te 0.521 0.281 0.873
12 Te 0.565 0.167 0.408
13 Te 0.719 0.479 0.627
14 Te 0.794 0.965 0.983
15 Te 0.833 0.435 0.092
16 Te 0.965 0.794 0.483
17 Au 0.428 0.572 0.750
18 Au 0.572 0.428 0.250

The 6 most intense peaks (2θ = 10–90°), sorted by position:
two_theta  I (rel.)
10.15  100
20.97  52
24.45  61
25.75  53
31.02  79
39.44  59

---

Please write out number 3 again, unchanged.
This entry pairs a crystal structure of Tb7Ge5Au with its theoretical powder diffraction line list. Radiation: a wavelength of 1.5418 Å. Structure: a DFT-relaxed cell (PBE, Alexandria).

Cell and atoms:
abc: 7.930 7.930 7.930
angles: 135.59 93.64 102.83
Sites, in units of the cell vectors:
1 Tb 0.000 0.000 0.000
2 Tb 0.058 0.732 0.325
3 Tb 0.400 0.400 0.000
4 Tb 0.407 0.732 0.675
5 Tb 0.529 0.029 0.500
6 Tb 0.613 0.279 0.334
7 Tb 0.945 0.279 0.666
8 Ge 0.011 0.511 0.500
9 Ge 0.261 0.226 0.486
10 Ge 0.261 0.775 0.035
11 Ge 0.739 0.226 0.965
12 Ge 0.739 0.775 0.514
13 Au 0.700 0.700 0.000

The 6 most intense peaks (2θ = 10–90°), sorted by position:
two_theta  I (rel.)
28.83  77
29.81  50
30.96  52
34.16  100
38.86  64
59.71  31